# 1
La4OsI: calculated XRD peak list (Cu Kα (weighted mean of Kα1 and Kα2)), based on a DFT-relaxed cell (GGA-PBE, Alexandria).
Lines closer than 0.1° are merged.

Largest 8 diffraction maxima, low angle first, 10 to 80 degrees two-theta:
2θ = 11.24°, I = 20; 2θ = 12.56°, I = 31; 2θ = 18.27°, I = 28; 2θ = 22.50°, I = 29; 2θ = 28.94°, I = 54; 2θ = 29.96°, I = 100; 2θ = 40.11°, I = 28; 2θ = 44.10°, I = 38

```
La4OsI
1.0
4.615 -7.871 0.000
4.615 7.871 0.000
-3.754 0.000 6.170
La Os I
8 2 2
Direct
0.000 0.395 0.217
0.000 0.605 0.783
0.135 0.261 0.701
0.261 0.135 0.201
0.395 0.000 0.717
0.605 0.000 0.283
0.739 0.865 0.799
0.865 0.739 0.299
0.076 0.924 0.750
0.924 0.076 0.250
0.427 0.573 0.250
0.573 0.427 0.750
```

# 2
La8OsPt3I4: calculated XRD peak list (Cu Kα (weighted mean of Kα1 and Kα2)), based on a DFT-relaxed cell (GGA-PBE, Alexandria).
Lines closer than 0.1° are merged.

Largest 8 diffraction maxima, low angle first, 10 to 80 degrees two-theta:
2θ = 10.75°, I = 27; 2θ = 27.95°, I = 100; 2θ = 35.02°, I = 14; 2θ = 37.84°, I = 30; 2θ = 41.96°, I = 38; 2θ = 51.18°, I = 19; 2θ = 57.80°, I = 15; 2θ = 68.25°, I = 16

```
La8OsPt3I4
1.0
4.306 2.486 8.229
-4.306 2.486 8.229
0.000 -4.972 8.229
La Os Pt I
8 1 3 4
Direct
0.229 0.229 0.229
0.240 0.724 0.724
0.276 0.276 0.760
0.276 0.760 0.276
0.724 0.240 0.724
0.724 0.724 0.240
0.760 0.276 0.276
0.771 0.771 0.771
0.500 0.500 0.500
0.000 0.000 0.500
0.000 0.500 0.000
0.500 0.000 0.000
0.000 0.000 0.000
0.000 0.500 0.500
0.500 0.000 0.500
0.500 0.500 0.000
```

# 3
La8Os3PtI4: calculated XRD peak list (Cu Kα (weighted mean of Kα1 and Kα2)), based on a DFT-relaxed cell (GGA-PBE, Alexandria).
Lines closer than 0.1° are merged.

Largest 8 diffraction maxima, low angle first, 10 to 80 degrees two-theta:
2θ = 10.76°, I = 29; 2θ = 28.17°, I = 100; 2θ = 35.21°, I = 15; 2θ = 38.02°, I = 29; 2θ = 42.40°, I = 38; 2θ = 44.13°, I = 9; 2θ = 51.68°, I = 18; 2θ = 69.00°, I = 15

```
La8Os3PtI4
1.0
4.264 2.462 8.221
-4.264 2.462 8.221
0.000 -4.923 8.221
La Os Pt I
8 3 1 4
Direct
0.216 0.734 0.734
0.229 0.229 0.229
0.266 0.266 0.784
0.266 0.784 0.266
0.734 0.216 0.734
0.734 0.734 0.216
0.771 0.771 0.771
0.784 0.266 0.266
0.000 0.000 0.500
0.000 0.500 0.000
0.500 0.000 0.000
0.500 0.500 0.500
0.000 0.000 0.000
0.000 0.500 0.500
0.500 0.000 0.500
0.500 0.500 0.000
```

# 4
La6OsPt2I3: calculated XRD peak list (Cu Kα (weighted mean of Kα1 and Kα2)), based on a DFT-relaxed cell (GGA-PBE, Alexandria).
Lines closer than 0.1° are merged.

Largest 8 diffraction maxima, low angle first, 10 to 80 degrees two-theta:
2θ = 10.74°, I = 27; 2θ = 28.00°, I = 100; 2θ = 35.04°, I = 14; 2θ = 37.86°, I = 30; 2θ = 42.07°, I = 38; 2θ = 43.98°, I = 9; 2θ = 51.29°, I = 19; 2θ = 68.43°, I = 15

```
La6OsPt2I3
1.0
3.720 -6.444 0.000
3.720 6.444 0.000
-2.479 0.000 8.238
La Os Pt I
6 1 2 3
Direct
0.062 0.384 0.187
0.259 0.259 0.812
0.384 0.062 0.187
0.616 0.938 0.813
0.741 0.741 0.188
0.938 0.616 0.813
0.000 0.000 0.000
0.333 0.667 0.000
0.667 0.333 0.000
0.166 0.834 0.500
0.500 0.500 0.500
0.834 0.166 0.500
```